Structure and theoretical powder X-ray diffraction pattern of Tl2Ag5Pd12 (a cell relaxed with PBE; a wavelength of 1.5418 Å).

Main lines, low angle first (10 to 90 degrees two-theta):
- 2θ = 34.67°, intensity 19
- 2θ = 37.02°, intensity 17
- 2θ = 38.32°, intensity 58
- 2θ = 39.16°, intensity 35
- 2θ = 40.32°, intensity 100
- 2θ = 40.87°, intensity 66
- 2θ = 44.37°, intensity 14
- 2θ = 55.94°, intensity 23
- 2θ = 70.63°, intensity 17
- 2θ = 71.01°, intensity 11

Atomic structure:
Cell lengths 8.508, 8.508, 5.039 Å; angles 101.52, 101.52, 67.04 degrees
Fractional positions:
Tl 0.230 0.770 0.000
Tl 0.770 0.230 0.000
Ag 0.000 0.000 0.500
Ag 0.223 0.223 0.528
Ag 0.338 0.338 0.121
Ag 0.662 0.662 0.879
Ag 0.777 0.777 0.472
Pd 0.052 0.545 0.794
Pd 0.133 0.133 0.971
Pd 0.149 0.647 0.394
Pd 0.353 0.851 0.606
Pd 0.447 0.447 0.709
Pd 0.455 0.948 0.206
Pd 0.545 0.052 0.794
Pd 0.553 0.553 0.291
Pd 0.647 0.149 0.394
Pd 0.851 0.353 0.606
Pd 0.867 0.867 0.029
Pd 0.948 0.455 0.206